The following is a simulated powder diffractogram of HfNiPd6. It was derived from a DFT-relaxed cell (PBE, Alexandria), using Cu Kα (λ = 1.5418 Å).
Intensities are scaled so that the largest is 100.

Cell and atoms:
a b c (Å): 5.589 5.589 3.944
angles (deg): 90.00 90.00 90.00
Sites, in units of the cell vectors:
Hf: 0.000 0.000 0.000
Ni: 0.500 0.500 0.000
Pd: 0.000 0.500 0.000
Pd: 0.254 0.254 0.500
Pd: 0.254 0.746 0.500
Pd: 0.500 0.000 0.000
Pd: 0.746 0.254 0.500
Pd: 0.746 0.746 0.500

Peak list (10 most intense, 15 to 90 degrees two-theta, in order of rising 2θ)
two_theta  I (rel.)
15.9  6
27.7  5
35.9  2
39.5  100
45.9  32
46.0  16
67.0  31
80.7  24
80.8  12
85.1  11

***

The following is a simulated powder diffractogram of Pr3Hg4Au4. It was derived from a DFT-relaxed cell (PBE, Alexandria), using Cu Kα (λ = 1.5418 Å).
Intensities are scaled so that the largest is 100.

Cell and atoms:
a b c (Å): 3.619 4.776 15.806
angles (deg): 98.67 96.45 90.01
Sites, in units of the cell vectors:
Pr: 0.000 0.000 0.000
Pr: 0.140 0.641 0.281
Pr: 0.860 0.359 0.719
Hg: 0.263 0.264 0.528
Hg: 0.408 0.907 0.815
Hg: 0.592 0.093 0.185
Hg: 0.737 0.736 0.472
Au: 0.319 0.817 0.634
Au: 0.455 0.454 0.910
Au: 0.545 0.546 0.090
Au: 0.681 0.183 0.366

Peak list (10 most intense, 15 to 90 degrees two-theta, in order of rising 2θ)
two_theta  I (rel.)
24.8  22
31.9  44
33.1  100
37.0  87
37.7  45
42.8  20
50.2  25
50.4  20
64.1  18
64.6  19

***

The following is a simulated powder diffractogram of CeInSn2I8. It was derived from a DFT-relaxed cell (PBE, Alexandria), using Cu Kα (λ = 1.5418 Å).
Intensities are scaled so that the largest is 100.

Cell and atoms:
a b c (Å): 7.385 9.598 7.838
angles (deg): 90.00 90.80 90.00
Sites, in units of the cell vectors:
Ce: 0.000 0.000 0.000
In: 0.000 0.500 0.000
Sn: 0.500 0.255 0.500
Sn: 0.500 0.745 0.500
I: 0.247 0.000 0.669
I: 0.250 0.233 0.160
I: 0.250 0.767 0.160
I: 0.270 0.500 0.643
I: 0.730 0.500 0.357
I: 0.750 0.233 0.840
I: 0.750 0.767 0.840
I: 0.753 0.000 0.331

Peak list (10 most intense, 15 to 90 degrees two-theta, in order of rising 2θ)
two_theta  I (rel.)
16.4  50
16.6  45
24.8  87
25.0  100
25.6  55
25.9  49
32.5  79
32.8  66
37.5  50
39.3  87

***

The following is a simulated powder diffractogram of La12Pm6Tl. It was derived from a DFT-relaxed cell (PBE, Alexandria), using Cu Kα (λ = 1.5418 Å).
Intensities are scaled so that the largest is 100.

Cell and atoms:
a b c (Å): 8.938 8.938 8.938
angles (deg): 98.99 98.99 98.99
Sites, in units of the cell vectors:
La: 0.000 0.260 0.740
La: 0.000 0.740 0.260
La: 0.168 0.581 0.581
La: 0.260 0.000 0.740
La: 0.260 0.740 0.000
La: 0.419 0.419 0.832
La: 0.419 0.832 0.419
La: 0.581 0.168 0.581
La: 0.581 0.581 0.168
La: 0.740 0.000 0.260
La: 0.740 0.260 0.000
La: 0.832 0.419 0.419
Pm: 0.137 0.137 0.405
Pm: 0.137 0.405 0.137
Pm: 0.405 0.137 0.137
Pm: 0.595 0.863 0.863
Pm: 0.863 0.595 0.863
Pm: 0.863 0.863 0.595
Tl: 0.000 0.000 0.000

Peak list (10 most intense, 15 to 90 degrees two-theta, in order of rising 2θ)
two_theta  I (rel.)
28.8  36
30.7  64
30.9  90
31.2  100
33.5  27
35.8  17
48.5  25
55.4  25
56.6  16
59.9  16

***

The following is a simulated powder diffractogram of TiPt3. It was derived from a DFT-relaxed cell (PBE, Alexandria), using Cu Kα (λ = 1.5418 Å).
Intensities are scaled so that the largest is 100.

Cell and atoms:
a b c (Å): 5.586 5.586 15.964
angles (deg): 90.00 90.00 120.00
Sites, in units of the cell vectors:
Ti: 0.000 0.000 0.000
Ti: 0.000 0.000 0.280
Ti: 0.000 0.000 0.720
Ti: 0.333 0.667 0.144
Ti: 0.333 0.667 0.570
Ti: 0.667 0.333 0.430
Ti: 0.667 0.333 0.856
Pt: 0.000 0.500 0.000
Pt: 0.001 0.500 0.287
Pt: 0.167 0.333 0.857
Pt: 0.167 0.334 0.429
Pt: 0.167 0.833 0.429
Pt: 0.167 0.833 0.857
Pt: 0.333 0.167 0.143
Pt: 0.334 0.167 0.571
Pt: 0.500 0.000 0.000
Pt: 0.500 0.001 0.713
Pt: 0.500 0.500 0.000
Pt: 0.500 0.500 0.287
Pt: 0.500 0.500 0.713
Pt: 0.500 0.999 0.287
Pt: 0.666 0.833 0.429
Pt: 0.667 0.833 0.857
Pt: 0.833 0.167 0.143
Pt: 0.833 0.167 0.571
Pt: 0.833 0.666 0.571
Pt: 0.833 0.667 0.143
Pt: 0.999 0.500 0.713

Peak list (10 most intense, 15 to 90 degrees two-theta, in order of rising 2θ)
two_theta  I (rel.)
21.5  23
38.9  99
39.5  73
41.0  100
43.8  81
47.1  59
65.2  22
67.0  47
70.7  21
80.7  56

***

The following is a simulated powder diffractogram of Sm7Tl2Cd. It was derived from a DFT-relaxed cell (PBE, Alexandria), using Cu Kα (λ = 1.5418 Å).
Intensities are scaled so that the largest is 100.

Cell and atoms:
a b c (Å): 5.368 5.368 13.086
angles (deg): 90.00 90.00 120.00
Sites, in units of the cell vectors:
Sm: 0.000 0.000 0.000
Sm: 0.000 0.000 0.262
Sm: 0.000 0.000 0.736
Sm: 0.333 0.667 0.412
Sm: 0.333 0.667 0.882
Sm: 0.667 0.333 0.128
Sm: 0.667 0.333 0.585
Tl: 0.000 0.000 0.499
Tl: 0.667 0.333 0.845
Cd: 0.333 0.667 0.145

Peak list (10 most intense, 15 to 90 degrees two-theta, in order of rising 2θ)
two_theta  I (rel.)
20.3  25
23.5  12
28.0  13
33.4  100
33.5  92
39.4  14
48.0  34
59.7  54
70.1  12
80.0  15

***

The following is a simulated powder diffractogram of IrS2NO. It was derived from a DFT-relaxed cell (PBE, Alexandria), using Cu Kα (λ = 1.5418 Å).
Intensities are scaled so that the largest is 100.

Cell and atoms:
a b c (Å): 4.758 4.758 3.644
angles (deg): 90.00 90.00 90.00
Sites, in units of the cell vectors:
Ir: 0.000 0.000 0.000
S: 0.000 0.500 0.000
S: 0.500 0.000 0.000
N: 0.000 0.000 0.500
O: 0.500 0.500 0.500

Peak list (10 most intense, 15 to 90 degrees two-theta, in order of rising 2θ)
two_theta  I (rel.)
18.7  100
24.4  39
26.5  29
30.9  62
37.8  40
42.5  25
45.5  30
49.6  34
54.6  13
64.4  16

***

The following is a simulated powder diffractogram of NdSmAu4. It was derived from a DFT-relaxed cell (PBE, Alexandria), using Cu Kα (λ = 1.5418 Å).
Intensities are scaled so that the largest is 100.

Cell and atoms:
a b c (Å): 5.360 5.360 5.434
angles (deg): 90.04 90.04 61.07
Sites, in units of the cell vectors:
Nd: 0.000 0.000 0.000
Sm: 0.500 0.500 0.500
Au: 0.167 0.167 0.500
Au: 0.335 0.335 0.000
Au: 0.665 0.665 0.000
Au: 0.833 0.833 0.500

Peak list (10 most intense, 15 to 90 degrees two-theta, in order of rising 2θ)
two_theta  I (rel.)
32.9  70
37.4  100
47.3  26
60.1  6
61.8  35
61.9  12
70.3  16
78.6  6
79.8  12
81.3  11

***

The following is a simulated powder diffractogram of Mg14ZnCo. It was derived from a DFT-relaxed cell (PBE, Alexandria), using Cu Kα (λ = 1.5418 Å).
Intensities are scaled so that the largest is 100.

Cell and atoms:
a b c (Å): 6.193 6.193 10.031
angles (deg): 90.00 90.00 120.00
Sites, in units of the cell vectors:
Mg: 0.000 0.000 0.248
Mg: 0.000 0.000 0.752
Mg: 0.013 0.506 0.260
Mg: 0.013 0.506 0.740
Mg: 0.330 0.165 0.500
Mg: 0.335 0.168 0.000
Mg: 0.494 0.506 0.260
Mg: 0.494 0.506 0.740
Mg: 0.494 0.987 0.260
Mg: 0.494 0.987 0.740
Mg: 0.832 0.168 0.000
Mg: 0.832 0.665 0.000
Mg: 0.835 0.165 0.500
Mg: 0.835 0.670 0.500
Zn: 0.333 0.667 0.000
Co: 0.333 0.667 0.500

Peak list (10 most intense, 15 to 90 degrees two-theta, in order of rising 2θ)
two_theta  I (rel.)
16.5  17
24.3  10
33.4  26
35.8  26
38.1  100
49.8  16
59.7  17
65.8  18
71.6  18
73.1  13

***

The following is a simulated powder diffractogram of TbPr7Er3. It was derived from a DFT-relaxed cell (PBE, Alexandria), using Cu Kα (λ = 1.5418 Å).
Intensities are scaled so that the largest is 100.

Cell and atoms:
a b c (Å): 7.147 10.008 11.533
angles (deg): 89.97 89.92 69.10
Sites, in units of the cell vectors:
Tb: 0.000 0.000 0.000
Tb: 0.500 0.000 0.500
Pr: 0.087 0.325 0.031
Pr: 0.087 0.325 0.469
Pr: 0.158 0.175 0.750
Pr: 0.255 0.001 0.250
Pr: 0.334 0.824 0.750
Pr: 0.411 0.675 0.469
Pr: 0.412 0.675 0.031
Pr: 0.588 0.325 0.969
Pr: 0.589 0.325 0.531
Pr: 0.666 0.176 0.250
Pr: 0.745 0.999 0.750
Pr: 0.842 0.825 0.250
Pr: 0.913 0.675 0.531
Pr: 0.913 0.675 0.969
Er: 0.000 0.000 0.500
Er: 0.250 0.497 0.750
Er: 0.253 0.497 0.250
Er: 0.500 0.000 0.000
Er: 0.747 0.503 0.750
Er: 0.750 0.503 0.250

Peak list (10 most intense, 15 to 90 degrees two-theta, in order of rising 2θ)
two_theta  I (rel.)
28.0  14
30.0  13
31.0  100
31.5  26
32.7  39
44.8  16
51.1  9
57.9  17
61.0  9
62.0  12

***

The following is a simulated powder diffractogram of Sr4CaYGa2Cu4O14. It was derived from a DFT-relaxed cell (PBE, Alexandria), using Cu Kα (λ = 1.5418 Å).
Intensities are scaled so that the largest is 100.

Cell and atoms:
a b c (Å): 12.273 12.273 5.495
angles (deg): 102.94 102.94 25.34
Sites, in units of the cell vectors:
Sr: 0.150 0.150 0.136
Sr: 0.348 0.348 0.332
Sr: 0.652 0.652 0.668
Sr: 0.850 0.850 0.864
Ca: 0.998 0.002 0.000
Y: 0.498 0.502 0.500
Ga: 0.290 0.210 0.680
Ga: 0.790 0.710 0.320
Cu: 0.072 0.077 0.575
Cu: 0.423 0.428 0.924
Cu: 0.572 0.577 0.076
Cu: 0.923 0.928 0.425
O: 0.143 0.355 0.362
O: 0.153 0.201 0.721
O: 0.186 0.683 0.679
O: 0.190 0.683 0.192
O: 0.297 0.351 0.864
O: 0.317 0.810 0.808
O: 0.317 0.814 0.321
O: 0.645 0.857 0.638
O: 0.649 0.703 0.136
O: 0.676 0.192 0.677
O: 0.682 0.192 0.189
O: 0.799 0.847 0.279
O: 0.808 0.318 0.811
O: 0.808 0.324 0.323

Peak list (10 most intense, 15 to 90 degrees two-theta, in order of rising 2θ)
two_theta  I (rel.)
27.8  8
32.6  28
32.8  100
33.3  30
38.6  8
38.8  19
46.8  9
47.3  33
58.3  16
59.1  18

***

The following is a simulated powder diffractogram of Li2PaMn2N4. It was derived from a DFT-relaxed cell (PBE, Alexandria), using Cu Kα (λ = 1.5418 Å).
Intensities are scaled so that the largest is 100.

Cell and atoms:
a b c (Å): 5.246 5.246 7.823
angles (deg): 119.19 119.19 36.86
Sites, in units of the cell vectors:
Li: 0.137 0.137 0.228
Li: 0.863 0.863 0.772
Pa: 0.000 0.000 0.500
Mn: 0.347 0.347 0.108
Mn: 0.653 0.653 0.892
N: 0.217 0.217 0.830
N: 0.447 0.447 0.654
N: 0.553 0.553 0.346
N: 0.783 0.783 0.170

Peak list (10 most intense, 15 to 90 degrees two-theta, in order of rising 2θ)
two_theta  I (rel.)
18.0  100
20.8  20
26.6  16
29.5  27
30.0  13
34.1  31
35.6  27
39.9  28
41.8  18
55.6  13